Calculated X-ray diffraction stick pattern
Compound: Mg6Sn2Hg
Radiation: copper Kα
Structure: a PBE-relaxed structure
Intensities are scaled so that the largest is 1000.

Principal peaks in the range 2θ from 10° to 80°, in order of rising 2θ:
d_spacing  I (rel.)  hkl
6.649  570  1 1 0
4.201  266  1 0 1
3.834  286  1 1 1
3.325  316  2 2 0
3.132  487  2 1 1
2.607  1000  3 0 1
2.347  308  0 0 2
2.215  317  3 3 0

Structural model:
```
Mg6Sn2Hg
1.0
9.404 0.000 0.000
0.000 9.404 0.000
0.000 0.000 4.692
Mg Sn Hg
12 4 2
Cartesian
0.240 3.118 0.000
1.257 8.146 2.346
1.584 4.941 2.346
3.118 0.240 0.000
3.444 3.444 0.000
4.462 7.820 2.346
4.941 1.584 2.346
5.959 5.959 0.000
6.286 9.164 0.000
7.820 4.462 2.346
8.146 1.257 2.346
9.164 6.286 0.000
1.907 1.907 2.346
2.795 6.609 0.000
6.609 2.795 0.000
7.497 7.497 2.346
0.000 0.000 0.000
4.702 4.702 2.346
```